Simulated X-ray powder pattern
Compound: MgNiH
Radiation: Cu Kα (weighted mean of Kα1 and Kα2)
Structure: a crystal structure in Alexandria, relaxed with GGA-PBE
Kinematic intensities with the Lorentz-polarization factor, no thermal factor.

Structure:
Lattice parameters (Å, degrees): 3.148 3.148 3.184 90.00 90.00 90.00
Space group P4/mmm (No. 123)
Unique sites:
1 Mg 0.000 0.000 0.000
2 Ni 0.500 0.500 0.500
3 H 0.500 0.500 0.000

Peak list (10 most intense, 5° ≤ 2θ ≤ 70°, sorted by position)
- (0 0 1), 2θ = 28.02°, I = 12
- (1 0 0), 2θ = 28.35°, I = 28
- (1 0 1), 2θ = 40.29°, I = 100
- (1 1 0), 2θ = 40.53°, I = 52
- (1 1 1), 2θ = 50.00°, I = 9
- (0 0 2), 2θ = 57.92°, I = 8
- (2 0 0), 2θ = 58.66°, I = 16
- (1 0 2), 2θ = 65.72°, I = 4
- (2 0 1), 2θ = 66.24°, I = 4
- (2 1 0), 2θ = 66.41°, I = 4